(1)
Theoretical powder X-ray diffraction pattern
Compound: Y2Pa4Ru9
Radiation: CuKα
Structure: a GGA-PBE-relaxed structure
Neutral-atom scattering factors, no anomalous dispersion.

Lattice parameters (Å, degrees): 4.4832 4.4832 17.1323 90.00 90.00 120.00
Space group P-3m1 (No. 164)
One atom of each set of equivalent atoms:
1 Y 0.3333 0.6667 0.2547 x2
2 Pa 0.3333 0.6667 0.6018 x2
3 Pa 0.3333 0.6667 0.9006 x2
4 Ru 0.0000 0.0000 0.0000 x1
5 Ru 0.0000 0.0000 0.1617 x2
6 Ru 0.0000 0.0000 0.3455 x2
7 Ru 0.3333 0.6667 0.0807 x2
8 Ru 0.3333 0.6667 0.4305 x2

The 10 most intense peaks (2θ = 10–80°), low angle first:
hkl 0 0 4, 2θ = 20.74°, intensity 33
hkl 1 0 3, 2θ = 27.79°, intensity 40
hkl 0 1 5, 2θ = 34.92°, intensity 15
hkl 1 0 6, 2θ = 39.16°, intensity 69
hkl 1 1 0, 2θ = 40.23°, intensity 100
hkl 1 1 4, 2θ = 45.68°, intensity 26
hkl 1 1 6, 2θ = 51.85°, intensity 15
hkl 0 2 6, 2θ = 57.40°, intensity 22
hkl 2 1 6, 2θ = 72.41°, intensity 22
hkl 3 0 0, 2θ = 73.12°, intensity 17


(2)
Theoretical powder X-ray diffraction pattern
Compound: YPaRu2
Radiation: CuKα
Structure: a GGA-PBE-relaxed structure
Neutral-atom scattering factors, no anomalous dispersion.

Lattice parameters (Å, degrees): 6.849 6.849 6.849 90.00 90.00 90.00
Space group Fm-3m (No. 225)
One atom of each set of equivalent atoms:
1 Y 0.000 0.000 0.000 x4
2 Pa 0.000 0.000 0.500 x4
3 Ru 0.250 0.250 0.250 x8

The 10 most intense peaks (2θ = 10–80°), low angle first:
hkl 1 1 1, 2θ = 22.48°, intensity 15
hkl 2 0 0, 2θ = 26.02°, intensity 5
hkl 2 2 0, 2θ = 37.13°, intensity 100
hkl 3 1 1, 2θ = 43.84°, intensity 9
hkl 4 0 0, 2θ = 53.52°, intensity 17
hkl 3 3 1, 2θ = 58.76°, intensity 4
hkl 4 2 0, 2θ = 60.45°, intensity 2
hkl 4 2 2, 2θ = 66.93°, intensity 35
hkl 5 1 1, 2θ = 71.59°, intensity 3
hkl 4 4 0, 2θ = 79.10°, intensity 11